# Pr6Sb3N
Simulated powder X-ray diffraction pattern, Cu Kα, 1.54184 Å. Input: the PBE geometry in Alexandria.
Kinematic intensities with the Lorentz-polarization factor, no thermal factor.

Atomic structure:
a = 6.8358 Å, b = 8.2973 Å, c = 12.4614 Å
α = 90.00°, β = 121.71°, γ = 90.00°
Space group P2_1/c (No. 14)
Symmetry-distinct sites (fractional):
1 Pr 0.0916 0.0406 0.2267 (multiplicity 4)
2 Pr 0.1864 0.7190 0.0552 (multiplicity 4)
3 Pr 0.3748 0.1565 0.0497 (multiplicity 4)
4 Sb 0.3161 0.1101 0.7476 (multiplicity 4)
5 Sb 0.5000 0.0000 0.5000 (multiplicity 2)
6 N 0.0000 0.0000 0.0000 (multiplicity 2)

Peak list (6 most intense, 2θ from 10° to 90°, in order of rising 2θ)
2θ/deg, I (rel.), (hkl)
26.6, 64, 1 2 -2
27.3, 53, 0 2 2
28.1, 55, 1 0 2
29.7, 100, 2 1 -3
30.1, 76, 1 2 1
35.0, 54, 1 3 -1